No. 1
# BiSe2O8
Computed XRD peak list, CuKα. Input: a crystal structure in Alexandria, relaxed with PBE.

Atomic structure:
```
data_BiSe2O8
_chemical_formula_sum 'Bi1 Se2 O8'
_symmetry_space_group_name_H-M 'P -3 m 1'
_symmetry_Int_Tables_number 164
_symmetry_space_group_name_Hall '-P 3 2"'
_cell_length_a 5.8671
_cell_length_b 5.8671
_cell_length_c 7.0590
_cell_angle_alpha 90.00
_cell_angle_beta 90.00
_cell_angle_gamma 120.00
loop_
_atom_site_label
_atom_site_type_symbol
_atom_site_fract_x
_atom_site_fract_y
_atom_site_fract_z
_atom_site_occupancy
Bi1 Bi 0.0000 0.0000 0.0000 1
Se1 Se 0.3333 0.6667 0.2795 1
O1 O 0.1770 0.3540 0.2030 1
O2 O 0.3333 0.6667 0.5140 1
```

Main lines, in order of rising 2θ (2θ = 10–90°):
12.5°, rel. 18.3, (0 0 1); 17.5°, rel. 12.1, (1 0 0); 21.5°, rel. 100.0, (0 1 1); 30.5°, rel. 32.9, (1 1 0); 30.8°, rel. 31.2, (1 0 2); 37.6°, rel. 14.8, (2 0 1); 42.3°, rel. 10.2, (1 0 3); 43.9°, rel. 18.1, (0 2 2); 49.2°, rel. 21.4, (1 2 1); 49.7°, rel. 10.3, (1 1 3); 54.4°, rel. 12.1, (2 1 2); 67.8°, rel. 8.0, (3 1 1)

No. 2
# Bi2SeO6
Computed XRD peak list, CuKα. Input: a crystal structure in Alexandria, relaxed with PBE.

Atomic structure:
```
data_Bi2SeO6
_chemical_formula_sum 'Bi8 Se4 O24'
_symmetry_space_group_name_H-M 'C m c e'
_symmetry_Int_Tables_number 64
_symmetry_space_group_name_Hall '-C 2ac 2'
_cell_length_a 5.364
_cell_length_b 16.210
_cell_length_c 5.372
_cell_angle_alpha 90.00
_cell_angle_beta 90.00
_cell_angle_gamma 90.00
loop_
_atom_site_label
_atom_site_type_symbol
_atom_site_fract_x
_atom_site_fract_y
_atom_site_fract_z
_atom_site_occupancy
Bi1 Bi 0.000 0.169 0.002 1
Se1 Se 0.000 0.000 0.500 1
O1 O 0.000 0.105 0.575 1
O2 O 0.250 0.034 0.250 1
O3 O 0.250 0.250 0.250 1
```

Main lines, in order of rising 2θ (2θ = 10–90°):
10.9°, rel. 15.2, (0 2 0); 28.7°, rel. 100.0, (1 3 1); 33.2°, rel. 14.9, (0 6 0); 33.4°, rel. 30.2, (2 0 0); 36.4°, rel. 7.5, (1 5 1); 47.8°, rel. 27.2, (0 6 2); 47.9°, rel. 17.8, (2 0 2); 56.6°, rel. 17.7, (1 9 1); 56.9°, rel. 31.6, (1 3 3); 59.5°, rel. 12.4, (2 6 2); 77.2°, rel. 14.1, (3 9 1); 89.3°, rel. 10.5, (2 6 4)

No. 3
# Bi2SeO5
Computed XRD peak list, CuKα. Input: a crystal structure in Alexandria, relaxed with PBE.

Atomic structure:
```
data_Bi2SeO5
_chemical_formula_sum 'Bi16 Se8 O40'
_symmetry_space_group_name_H-M 'A e m 2'
_symmetry_Int_Tables_number 39
_symmetry_space_group_name_Hall 'A 2 -2b'
_cell_length_a 11.615
_cell_length_b 16.643
_cell_length_c 5.565
_cell_angle_alpha 90.00
_cell_angle_beta 90.00
_cell_angle_gamma 90.00
loop_
_atom_site_label
_atom_site_type_symbol
_atom_site_fract_x
_atom_site_fract_y
_atom_site_fract_z
_atom_site_occupancy
Bi1 Bi 0.109 0.085 0.000 1
Bi2 Bi 0.114 0.250 0.534 1
Bi3 Bi 0.370 0.250 0.008 1
Se1 Se 0.357 0.090 0.501 1
O1 O 0.000 0.000 0.280 1
O2 O 0.008 0.162 0.737 1
O3 O 0.198 0.250 0.899 1
O4 O 0.236 0.052 0.640 1
O5 O 0.290 0.157 0.303 1
O6 O 0.420 0.151 0.715 1
```

Main lines, in order of rising 2θ (2θ = 10–90°):
27.4°, rel. 100.0, (2 3 1); 30.8°, rel. 14.2, (4 0 0); 32.2°, rel. 14.7, (0 6 0); 32.3°, rel. 14.5, (0 6 0); 32.5°, rel. 9.1, (3 3 1); 45.2°, rel. 26.7, (4 0 2); 46.2°, rel. 15.1, (0 6 2); 52.7°, rel. 14.4, (6 3 1); 54.5°, rel. 14.8, (2 3 3); 54.6°, rel. 14.9, (2 9 1); 56.6°, rel. 11.4, (4 6 2); 74.2°, rel. 6.2, (2 9 3)